Entry 1:
For Sm3Y2Er3, the PBE geometry in Alexandria gives the simulated powder diffractogram in this record (CuKα).

Cell and atoms:
abc: 5.673 14.598 6.302
angles: 90.00 90.00 90.00
Space group Pmmn (No. 59, origin choice 2)
Inequivalent atoms, fractional coordinates:
Sm: 0.250 0.125 0.171
Sm: 0.250 0.750 0.662
Y: 0.250 0.624 0.165
Er: 0.250 0.001 0.665
Er: 0.250 0.250 0.670

Top 10 peaks for 15 to 90 degrees two-theta, by angle:
2θ = 28.28°, I 24, hkl 0 0 2; 2θ = 31.54°, I 24, hkl 2 0 0; 2θ = 32.46°, I 100, hkl 1 4 1; 2θ = 42.87°, I 16, hkl 2 0 2; 2θ = 50.10°, I 13, hkl 0 4 3; 2θ = 56.75°, I 20, hkl 3 4 1; 2θ = 60.42°, I 15, hkl 2 4 3; 2θ = 60.90°, I 11, hkl 1 8 2; 2θ = 82.73°, I 9, hkl 1 8 4; 2θ = 87.07°, I 8, hkl 4 8 0

***

Entry 2:
For La2PrY2, the PBE geometry in Alexandria gives the simulated powder diffractogram in this record (CuKα).

Cell and atoms:
abc: 5.8083 5.8083 12.3024
angles: 90.00 90.00 120.00
Space group P6_3/mmc (No. 194)
Inequivalent atoms, fractional coordinates:
La: 0.3333 0.6667 0.1015
Pr: 0.0000 0.0000 0.2500
Y: 0.0000 0.0000 0.0000
Y: 0.3333 0.6667 0.7500

Top 10 peaks for 15 to 90 degrees two-theta, by angle:
2θ = 28.07°, I 65, hkl 1 0 3; 2θ = 30.79°, I 100, hkl 1 1 0; 2θ = 34.17°, I 40, hkl 1 0 4; 2θ = 42.15°, I 21, hkl 2 0 3; 2θ = 46.65°, I 16, hkl 2 0 4; 2θ = 53.10°, I 22, hkl 2 1 3; 2θ = 54.77°, I 33, hkl 3 0 0; 2θ = 56.94°, I 18, hkl 2 1 4; 2θ = 64.13°, I 12, hkl 2 2 0; 2θ = 89.23°, I 10, hkl 4 1 0

***

- Which formula does entry 1 have?
  Sm3Y2Er3